# 1
For Np2AlO11, a DFT-relaxed cell (PBE, Alexandria) gives the computed powder X-ray diffraction pattern in this record (Cu Kα, 1.54184 Å).

```
data_Np2AlO11
_chemical_formula_sum 'Np8 Al4 O44'
_cell_length_a 11.471
_cell_length_b 13.035
_cell_length_c 6.834
_cell_angle_alpha 90.00
_cell_angle_beta 122.73
_cell_angle_gamma 90.00
_space_group_name_H-M_alt 'C 1 c 1'
_space_group_IT_number 9
loop_
_space_group_symop_operation_xyz
'x,y,z'
'x,-y,z+1/2'
'x+1/2,y+1/2,z'
'x+1/2,-y+1/2,z+1/2'
loop_
_atom_site_label
_atom_site_type_symbol
_atom_site_fract_x
_atom_site_fract_y
_atom_site_fract_z
Np1 Np 0.000 0.078 0.000
Np2 Np 0.022 0.418 0.500
Al1 Al 0.260 0.241 0.500
O1 O 0.010 0.157 0.547
O2 O 0.108 0.489 0.796
O3 O 0.127 0.173 0.252
O4 O 0.148 0.019 0.015
O5 O 0.175 0.324 0.594
O6 O 0.345 0.334 0.423
O7 O 0.384 0.010 0.403
O8 O 0.390 0.497 0.225
O9 O 0.395 0.167 0.720
O10 O 0.464 0.197 0.198
O11 O 0.495 0.302 0.209
```

Largest 10 diffraction maxima, in order of falling intensity, 10° ≤ 2θ ≤ 80°:
2theta	d_spacing	I/Imax
20.6	4.312	100
21.4	4.161	95
18.4	4.825	92
31.6	2.835	39
13.6	6.518	37
22.9	3.879	36
32.1	2.791	34
26.1	3.410	31
33.2	2.702	29
31.1	2.874	28

=====

# 2
For YZn4Ni8, a DFT-relaxed cell (PBE, Alexandria) gives the computed powder X-ray diffraction pattern in this record (Cu Kα, 1.54184 Å).

```
data_YZn4Ni8
_chemical_formula_sum 'Y2 Zn8 Ni16'
_cell_length_a 8.317
_cell_length_b 8.317
_cell_length_c 4.898
_cell_angle_alpha 90.00
_cell_angle_beta 90.00
_cell_angle_gamma 90.00
_space_group_name_H-M_alt 'I 4/m m m'
_space_group_IT_number 139
_space_group_name_Hall '-I 4 2'
loop_
_atom_site_label
_atom_site_type_symbol
_atom_site_fract_x
_atom_site_fract_y
_atom_site_fract_z
Y1 Y 0.000 0.000 0.000
Zn1 Zn 0.250 0.250 0.250
Ni1 Ni 0.000 0.225 0.500
Ni2 Ni 0.000 0.357 0.000
```

Largest 10 diffraction maxima, in order of falling intensity, 10° ≤ 2θ ≤ 80°:
2theta	d_spacing	I/Imax
43.4	2.087	100
42.9	2.110	93
43.5	2.079	75
48.4	1.882	69
37.3	2.413	42
49.0	1.860	34
48.8	1.865	29
79.4	1.206	24
70.7	1.333	21
79.8	1.202	21

=====

# 3
For CsK16Rb12, a DFT-relaxed cell (PBE, Alexandria) gives the computed powder X-ray diffraction pattern in this record (Cu Kα, 1.54184 Å).

```
data_CsK16Rb12
_chemical_formula_sum 'Cs2 K32 Rb24'
_cell_length_a 16.798
_cell_length_b 24.023
_cell_length_c 14.314
_cell_angle_alpha 90.00
_cell_angle_beta 124.62
_cell_angle_gamma 90.00
_space_group_name_H-M_alt 'C 1 m 1'
_space_group_IT_number 8
loop_
_space_group_symop_operation_xyz
'x,y,z'
'x,-y,z'
'x+1/2,y+1/2,z'
'x+1/2,-y+1/2,z'
loop_
_atom_site_label
_atom_site_type_symbol
_atom_site_fract_x
_atom_site_fract_y
_atom_site_fract_z
Cs1 Cs 0.000 0.000 0.000
K1 K 0.051 0.142 0.285
K2 K 0.073 0.205 0.957
K3 K 0.092 0.500 0.278
K4 K 0.098 0.500 0.643
K5 K 0.161 0.158 0.691
K6 K 0.243 0.000 0.915
K7 K 0.252 0.341 0.874
K8 K 0.273 0.318 0.273
K9 K 0.281 0.000 0.551
K10 K 0.385 0.205 0.593
Rb1 Rb 0.095 0.310 0.477
Rb2 Rb 0.282 0.500 0.103
Rb3 Rb 0.312 0.094 0.281
Rb4 Rb 0.371 0.402 0.641
Rb5 Rb 0.406 0.191 0.085
Rb6 Rb 0.489 0.500 0.474
Rb7 Rb 0.497 0.096 0.893
```

Largest 10 diffraction maxima, in order of falling intensity, 10° ≤ 2θ ≤ 80°:
2theta	d_spacing	I/Imax
22.4	3.964	100
24.7	3.610	86
22.6	3.929	81
22.3	3.994	76
22.4	3.975	76
24.8	3.593	59
12.8	6.905	58
25.3	3.527	45
26.8	3.325	43
37.5	2.398	40

=====

# 4
For La2SmHo4Er, a DFT-relaxed cell (PBE, Alexandria) gives the computed powder X-ray diffraction pattern in this record (Cu Kα, 1.54184 Å).

```
data_La2SmHo4Er
_chemical_formula_sum 'La8 Sm4 Ho16 Er4'
_cell_length_a 12.436
_cell_length_b 7.188
_cell_length_c 12.398
_cell_angle_alpha 90.00
_cell_angle_beta 109.50
_cell_angle_gamma 90.00
_space_group_name_H-M_alt 'C 1 2/m 1'
_space_group_IT_number 12
loop_
_space_group_symop_operation_xyz
'x,y,z'
'-x,-y,-z'
'-x,y,-z'
'x,-y,z'
'x+1/2,y+1/2,z'
'-x+1/2,-y+1/2,-z'
'-x+1/2,y+1/2,-z'
'x+1/2,-y+1/2,z'
loop_
_atom_site_label
_atom_site_type_symbol
_atom_site_fract_x
_atom_site_fract_y
_atom_site_fract_z
La1 La 0.000 0.000 0.000
La2 La 0.000 0.000 0.500
La3 La 0.250 0.250 0.000
Sm1 Sm 0.000 0.500 0.000
Sm2 Sm 0.000 0.500 0.500
Ho1 Ho 0.001 0.251 0.253
Ho2 Ho 0.249 0.500 0.746
Ho3 Ho 0.250 0.000 0.747
Er1 Er 0.250 0.250 0.500
```

Largest 10 diffraction maxima, in order of falling intensity, 10° ≤ 2θ ≤ 80°:
2theta	d_spacing	I/Imax
30.5	2.932	100
35.4	2.537	67
60.5	1.531	33
30.6	2.922	33
50.8	1.796	24
51.0	1.791	24
60.6	1.528	19
63.5	1.466	12
74.9	1.268	8
60.7	1.527	5

=====

# 5
For Tb2Th2Rh3, a DFT-relaxed cell (PBE, Alexandria) gives the computed powder X-ray diffraction pattern in this record (Cu Kα, 1.54184 Å).

```
data_Tb2Th2Rh3
_chemical_formula_sum 'Tb2 Th2 Rh3'
_cell_length_a 4.065
_cell_length_b 6.984
_cell_length_c 7.033
_cell_angle_alpha 80.95
_cell_angle_beta 89.91
_cell_angle_gamma 73.10
_space_group_name_H-M_alt 'P -1'
_space_group_IT_number 2
loop_
_space_group_symop_operation_xyz
'x,y,z'
'-x,-y,-z'
loop_
_atom_site_label
_atom_site_type_symbol
_atom_site_fract_x
_atom_site_fract_y
_atom_site_fract_z
Tb1 Tb 0.129 0.238 0.366
Th1 Th 0.370 0.758 0.112
Rh1 Rh 0.000 0.500 0.000
Rh2 Rh 0.245 0.014 0.743
```

Largest 10 diffraction maxima, in order of falling intensity, 10° ≤ 2θ ≤ 80°:
2theta	d_spacing	I/Imax
31.3	2.859	100
44.6	2.031	74
31.0	2.882	50
26.8	3.322	24
27.0	3.298	24
55.3	1.661	20
55.7	1.649	19
44.7	2.027	18
12.8	6.938	18
45.1	2.011	18

=====

# 6
For TaBeCu, a DFT-relaxed cell (PBE, Alexandria) gives the computed powder X-ray diffraction pattern in this record (Cu Kα, 1.54184 Å).

```
data_TaBeCu
_chemical_formula_sum 'Ta2 Be2 Cu2'
_cell_length_a 2.776
_cell_length_b 5.286
_cell_length_c 5.656
_cell_angle_alpha 105.72
_cell_angle_beta 90.03
_cell_angle_gamma 105.21
_space_group_name_H-M_alt 'P -1'
_space_group_IT_number 2
loop_
_space_group_symop_operation_xyz
'x,y,z'
'-x,-y,-z'
loop_
_atom_site_label
_atom_site_type_symbol
_atom_site_fract_x
_atom_site_fract_y
_atom_site_fract_z
Ta1 Ta 0.008 0.019 0.252
Be1 Be 0.319 0.639 0.940
Cu1 Cu 0.303 0.607 0.365
```

Largest 10 diffraction maxima, in order of falling intensity, 10° ≤ 2θ ≤ 80°:
2theta	d_spacing	I/Imax
18.1	4.895	100
42.8	2.114	95
33.0	2.716	84
45.8	1.981	82
33.6	2.670	75
42.2	2.141	53
36.7	2.448	45
42.4	2.133	41
76.2	1.249	29
60.2	1.538	28

=====

# 7
For Tl5Si3, a DFT-relaxed cell (PBE, Alexandria) gives the computed powder X-ray diffraction pattern in this record (Cu Kα, 1.54184 Å).

```
data_Tl5Si3
_chemical_formula_sum 'Tl10 Si6'
_cell_length_a 10.619
_cell_length_b 11.276
_cell_length_c 3.723
_cell_angle_alpha 90.00
_cell_angle_beta 90.00
_cell_angle_gamma 90.00
_space_group_name_H-M_alt 'C m m m'
_space_group_IT_number 65
_space_group_name_Hall '-C 2 2'
loop_
_atom_site_label
_atom_site_type_symbol
_atom_site_fract_x
_atom_site_fract_y
_atom_site_fract_z
Tl1 Tl 0.000 0.000 0.000
Tl2 Tl 0.243 0.500 0.500
Tl3 Tl 0.250 0.250 0.000
Si1 Si 0.000 0.355 0.500
Si2 Si 0.000 0.500 0.000
```

Largest 10 diffraction maxima, in order of falling intensity, 10° ≤ 2θ ≤ 80°:
2theta	d_spacing	I/Imax
33.4	2.681	100
16.7	5.309	31
33.8	2.655	26
31.7	2.819	25
28.7	3.107	21
57.6	1.600	20
60.2	1.538	19
47.0	1.933	17
36.1	2.490	14
44.9	2.018	13

=====

# 8
For AcBPd6, a DFT-relaxed cell (PBE, Alexandria) gives the computed powder X-ray diffraction pattern in this record (Cu Kα, 1.54184 Å).

```
data_AcBPd6
_chemical_formula_sum 'Ac3 B3 Pd18'
_cell_length_a 5.7852
_cell_length_b 5.7852
_cell_length_c 14.9932
_cell_angle_alpha 90.00
_cell_angle_beta 90.00
_cell_angle_gamma 120.00
_space_group_name_H-M_alt 'R -3 m'
_space_group_IT_number 166
_space_group_name_Hall '-R 3 2"'
loop_
_atom_site_label
_atom_site_type_symbol
_atom_site_fract_x
_atom_site_fract_y
_atom_site_fract_z
Ac1 Ac 0.0000 0.0000 0.0000
B1 B 0.0000 0.0000 0.5000
Pd1 Pd 0.0137 0.5069 0.9102
```

Largest 10 diffraction maxima, in order of falling intensity, 10° ≤ 2θ ≤ 80°:
2theta	d_spacing	I/Imax
36.4	2.471	100
29.8	3.001	46
37.9	2.376	40
34.9	2.573	32
35.9	2.502	30
48.1	1.891	30
64.4	1.446	24
57.6	1.601	18
76.3	1.249	15
47.3	1.922	13

=====

# 9
For Y3Zn2Pd5, a DFT-relaxed cell (PBE, Alexandria) gives the computed powder X-ray diffraction pattern in this record (Cu Kα, 1.54184 Å).

```
data_Y3Zn2Pd5
_chemical_formula_sum 'Y6 Zn4 Pd10'
_cell_length_a 9.886
_cell_length_b 9.886
_cell_length_c 3.889
_cell_angle_alpha 90.00
_cell_angle_beta 90.00
_cell_angle_gamma 90.00
_space_group_name_H-M_alt 'P 4/m b m'
_space_group_IT_number 127
_space_group_name_Hall '-P 4 2ab'
loop_
_atom_site_label
_atom_site_type_symbol
_atom_site_fract_x
_atom_site_fract_y
_atom_site_fract_z
Y1 Y 0.000 0.000 0.000
Y2 Y 0.175 0.325 0.000
Zn1 Zn 0.119 0.619 0.000
Pd1 Pd 0.000 0.500 0.500
Pd2 Pd 0.070 0.787 0.500
```

Largest 10 diffraction maxima, in order of falling intensity, 10° ≤ 2θ ≤ 80°:
2theta	d_spacing	I/Imax
36.9	2.437	100
40.2	2.241	47
37.5	2.398	45
46.7	1.944	27
34.5	2.600	24
61.4	1.510	21
40.8	2.211	20
30.6	2.920	19
43.4	2.086	13
71.7	1.316	11

=====

# 10
For Cr3Ni13, a DFT-relaxed cell (PBE, Alexandria) gives the computed powder X-ray diffraction pattern in this record (Cu Kα, 1.54184 Å).

```
data_Cr3Ni13
_chemical_formula_sum 'Cr6 Ni26'
_cell_length_a 7.002
_cell_length_b 7.117
_cell_length_c 7.074
_cell_angle_alpha 90.00
_cell_angle_beta 90.00
_cell_angle_gamma 90.00
_space_group_name_H-M_alt 'A m m 2'
_space_group_IT_number 38
loop_
_space_group_symop_operation_xyz
'x,y,z'
'-x,-y,z'
'-x,y,z'
'x,-y,z'
'x,y+1/2,z+1/2'
'-x,-y+1/2,z+1/2'
'-x,y+1/2,z+1/2'
'x,-y+1/2,z+1/2'
loop_
_atom_site_label
_atom_site_type_symbol
_atom_site_fract_x
_atom_site_fract_y
_atom_site_fract_z
Cr1 Cr 0.000 0.000 0.000
Cr2 Cr 0.250 0.000 0.256
Ni1 Ni 0.000 0.000 0.503
Ni2 Ni 0.000 0.248 0.256
Ni3 Ni 0.250 0.000 0.755
Ni4 Ni 0.250 0.250 0.005
Ni5 Ni 0.500 0.000 0.007
Ni6 Ni 0.500 0.000 0.505
Ni7 Ni 0.500 0.248 0.255
```

Largest 7 diffraction maxima, in order of falling intensity, 10° ≤ 2θ ≤ 80°:
2theta	d_spacing	I/Imax
44.4	2.039	100
51.4	1.779	16
51.7	1.768	15
52.3	1.750	15
75.9	1.254	9
76.3	1.248	9
76.6	1.244	9

=====

# 11
For TbPrAlTl, a DFT-relaxed cell (PBE, Alexandria) gives the computed powder X-ray diffraction pattern in this record (Cu Kα, 1.54184 Å).

```
data_TbPrAlTl
_chemical_formula_sum 'Tb1 Pr1 Al1 Tl1'
_cell_length_a 3.743
_cell_length_b 3.743
_cell_length_c 7.740
_cell_angle_alpha 90.00
_cell_angle_beta 90.00
_cell_angle_gamma 90.00
_space_group_name_H-M_alt 'P 4 m m'
_space_group_IT_number 99
loop_
_space_group_symop_operation_xyz
'x,y,z'
'-y,x,z'
'-x,-y,z'
'y,-x,z'
'-x,y,z'
'y,x,z'
'x,-y,z'
'-y,-x,z'
loop_
_atom_site_label
_atom_site_type_symbol
_atom_site_fract_x
_atom_site_fract_y
_atom_site_fract_z
Tb1 Tb 0.000 0.000 0.000
Pr1 Pr 0.000 0.000 0.527
Al1 Al 0.500 0.500 0.775
Tl1 Tl 0.500 0.500 0.249
```

Largest 10 diffraction maxima, in order of falling intensity, 10° ≤ 2θ ≤ 80°:
2theta	d_spacing	I/Imax
33.3	2.690	100
33.9	2.647	49
60.2	1.536	37
26.5	3.369	26
11.4	7.740	24
59.1	1.562	18
48.7	1.871	18
69.9	1.345	11
47.0	1.935	9
49.3	1.847	7

=====

# 12
For Ba12Na15Li8N6, a DFT-relaxed cell (PBE, Alexandria) gives the computed powder X-ray diffraction pattern in this record (Cu Kα, 1.54184 Å).

```
data_Ba12Na15Li8N6
_chemical_formula_sum 'Ba36 Na45 Li24 N18'
_cell_length_a 12.3818
_cell_length_b 12.3818
_cell_length_c 32.9414
_cell_angle_alpha 90.00
_cell_angle_beta 90.00
_cell_angle_gamma 120.00
_space_group_name_H-M_alt 'R -3 m'
_space_group_IT_number 166
_space_group_name_Hall '-R 3 2"'
loop_
_atom_site_label
_atom_site_type_symbol
_atom_site_fract_x
_atom_site_fract_y
_atom_site_fract_z
Ba1 Ba 0.0896 0.5448 0.2718
Ba2 Ba 0.1051 0.5526 0.5725
Na1 Na 0.0000 0.0000 0.2032
Na2 Na 0.0000 0.0000 0.5000
Na3 Na 0.0007 0.5004 0.8542
Na4 Na 0.1049 0.2099 0.2937
Li1 Li 0.0000 0.0000 0.0386
Li2 Li 0.0000 0.2030 0.0000
N1 N 0.0965 0.1931 0.0490
```

Largest 10 diffraction maxima, in order of falling intensity, 10° ≤ 2θ ≤ 80°:
2theta	d_spacing	I/Imax
26.2	3.399	100
16.1	5.490	37
25.2	3.537	37
13.6	6.531	32
35.1	2.557	27
47.1	1.931	26
29.1	3.071	25
24.9	3.574	25
46.1	1.970	22
43.9	2.064	21